This entry pairs a crystal structure of RbCrHgF6 with its simulated PXRD pattern. Radiation: Cu Kα (λ = 1.5418 Å). Structure: the GGA+U geometry in Alexandria.
Kinematic intensities with the Lorentz-polarization factor, no thermal factor.

Crystal structure
abc: 5.870 10.157 5.732
angles: 90.00 90.05 90.00
Space group C2 (No. 5)
Inequivalent atoms, fractional coordinates:
Rb: 0.000 0.000 0.000 (multiplicity 2)
Cr: 0.000 0.667 0.500 (multiplicity 2)
Hg: 0.000 0.333 0.500 (multiplicity 2)
F: 0.126 0.525 0.691 (multiplicity 4)
F: 0.150 0.800 0.691 (multiplicity 4)
F: 0.225 0.175 0.692 (multiplicity 4)

Main lines, in order of rising 2θ (2θ from 10° to 80°):
| Position (°2θ) | Rel. int. |
| --- | --- |
| 15.46 | 31 |
| 17.45 | 21 |
| 23.40 | 100 |
| 30.47 | 35 |
| 34.34 | 18 |
| 38.77 | 26 |
| 44.18 | 43 |
| 50.10 | 27 |
| 51.07 | 12 |
| 54.15 | 13 |